# KSrB2H8
Theoretical powder XRD pattern, copper Kα. Input: a structure optimized by DFT (GGA-PBE).
Peak positions follow from Bragg's law for the DFT cell and can differ from measured ones.

Largest 10 diffraction maxima, most intense first, 2θ from 10° to 80°:
2θ/deg, I_rel
28.13, 100
24.39, 70
39.97, 35
40.44, 34
47.59, 27
11.95, 27
24.03, 25
49.98, 18
47.19, 18
65.51, 15

Crystal structure
abc: 7.843 7.843 7.843
angles: 33.05 33.05 33.05
Fractional coordinates of all 12 atoms:
K1 0.000 0.000 0.000
Sr1 0.500 0.500 0.500
B1 0.245 0.245 0.245
B2 0.755 0.755 0.755
H1 0.074 0.074 0.529
H2 0.074 0.529 0.074
H3 0.300 0.300 0.300
H4 0.471 0.926 0.926
H5 0.529 0.074 0.074
H6 0.700 0.700 0.700
H7 0.926 0.471 0.926
H8 0.926 0.926 0.471


# KTlB2H8
Theoretical powder XRD pattern, copper Kα. Input: a structure optimized by DFT (GGA-PBE).
Peak positions follow from Bragg's law for the DFT cell and can differ from measured ones.

Largest 10 diffraction maxima, most intense first, 2θ from 10° to 80°:
2θ/deg, I_rel
26.50, 100
22.71, 97
11.65, 72
21.67, 57
37.36, 39
44.57, 37
38.27, 36
29.03, 30
23.42, 30
39.27, 25

Crystal structure
abc: 8.088 8.088 8.088
angles: 34.62 34.62 34.62
Fractional coordinates of all 12 atoms:
K1 0.000 0.000 0.000
Tl1 0.500 0.500 0.500
B1 0.254 0.254 0.254
B2 0.746 0.746 0.746
H1 0.097 0.097 0.514
H2 0.097 0.514 0.097
H3 0.308 0.308 0.308
H4 0.486 0.903 0.903
H5 0.514 0.097 0.097
H6 0.692 0.692 0.692
H7 0.903 0.486 0.903
H8 0.903 0.903 0.486